# 1
Computed powder diffraction line list of NbGe6Mo2 for Cu Kα X-rays, from a crystal structure in Alexandria, relaxed with GGA-PBE.
Kinematic intensities with the Lorentz-polarization factor, no thermal factor.

Peak list (12 most intense, 2θ = 10–90°, in order of rising 2θ)
- 2.454 Å, intensity 15, hkl 1 3 0
- 2.318 Å, intensity 52, hkl 2 0 1
- 2.308 Å, intensity 100, hkl 1 3 1
- 2.261 Å, intensity 53, hkl 0 0 3
- 1.995 Å, intensity 31, hkl 2 0 2
- 1.988 Å, intensity 65, hkl 1 3 2
- 1.397 Å, intensity 11, hkl 2 0 4
- 1.395 Å, intensity 19, hkl 1 3 4
- 1.391 Å, intensity 19, hkl 3 3 1
- 1.311 Å, intensity 16, hkl 3 3 2
- 1.227 Å, intensity 14, hkl 2 6 0
- 1.187 Å, intensity 12, hkl 1 3 5

Atomic structure:
Lattice parameters (Å, degrees): 4.9331 8.4876 6.7827 90.00 90.00 90.00
Space group C222 (No. 21)
Unique sites:
1 Nb 0.0000 0.0000 0.0000 [2 per cell]
2 Ge 0.0000 0.3340 0.0000 [4 per cell]
3 Ge 0.2477 0.4164 0.3352 [8 per cell]
4 Mo 0.2500 0.2500 0.6655 [4 per cell]

---

# 2
Computed powder diffraction line list of NaCa4Mg3 for Cu Kα X-rays, from a crystal structure in Alexandria, relaxed with GGA-PBE.
Kinematic intensities with the Lorentz-polarization factor, no thermal factor.

Peak list (12 most intense, 2θ = 10–90°, in order of rising 2θ)
- 4.087 Å, intensity 9, hkl 0 1 2
- 2.895 Å, intensity 26, hkl 0 0 4
- 2.885 Å, intensity 27, hkl 0 2 0
- 2.826 Å, intensity 100, hkl 1 1 2
- 2.043 Å, intensity 18, hkl 0 2 4
- 1.956 Å, intensity 8, hkl 2 0 0
- 1.658 Å, intensity 17, hkl 1 1 6
- 1.654 Å, intensity 18, hkl 1 3 2
- 1.620 Å, intensity 16, hkl 2 2 0
- 1.413 Å, intensity 10, hkl 2 2 4
- 1.286 Å, intensity 7, hkl 1 3 6
- 1.242 Å, intensity 6, hkl 3 1 2

Atomic structure:
Lattice parameters (Å, degrees): 3.9112 5.7691 11.5796 90.00 90.00 90.00
Space group Pmmm (No. 47)
Unique sites:
1 Na 0.0000 0.0000 0.0000 [1 per cell]
2 Ca 0.5000 0.0000 0.2613 [2 per cell]
3 Ca 0.5000 0.5000 0.0000 [1 per cell]
4 Ca 0.5000 0.5000 0.5000 [1 per cell]
5 Mg 0.0000 0.0000 0.5000 [1 per cell]
6 Mg 0.0000 0.5000 0.2523 [2 per cell]